1.
For NaTiI2N, a GGA-PBE-relaxed structure gives the computed powder diffractogram in this record (copper Kα).
Neutral-atom scattering factors, no anomalous dispersion.

Cell and atoms:
Cell lengths 5.825, 5.825, 3.822 Å; angles 90.00, 90.00, 90.00 degrees
Space group P4/mmm (No. 123)
One atom of each set of equivalent atoms:
Na1 0.000 0.000 0.000 [1 per cell]
Ti1 0.500 0.500 0.500 [1 per cell]
I1 0.000 0.500 0.500 [2 per cell]
N1 0.500 0.500 0.000 [1 per cell]

Most intense lines, 10° ≤ 2θ ≤ 90°, in order of falling intensity:
d (Å)	I/Imax
2.913	100
2.802	92
2.317	62
3.822	60
4.119	56
1.659	37

2.
For Nd3I7N, a GGA-PBE-relaxed structure gives the computed powder diffractogram in this record (copper Kα).
Neutral-atom scattering factors, no anomalous dispersion.

Cell and atoms:
Cell lengths 8.5768, 8.5768, 8.1372 Å; angles 90.00, 90.00, 120.00 degrees
Space group P3m1 (No. 156)
One atom of each set of equivalent atoms:
Nd1 0.1861 0.3723 0.0000 [3 per cell]
I1 0.0000 0.0000 0.7662 [1 per cell]
I2 0.3353 0.1677 0.2238 [3 per cell]
I3 0.5081 0.0162 0.7482 [3 per cell]
N1 0.3333 0.6667 0.0608 [1 per cell]

Most intense lines, 10° ≤ 2θ ≤ 90°, in order of falling intensity:
d (Å)	I/Imax
3.379	100
2.743	58
8.137	51
2.190	32
2.144	30
1.476	16

3.
For Nd4I6N, a GGA-PBE-relaxed structure gives the computed powder diffractogram in this record (copper Kα).
Neutral-atom scattering factors, no anomalous dispersion.

Cell and atoms:
Cell lengths 10.0755, 10.0755, 8.5438 Å; angles 90.00, 90.00, 120.00 degrees
Space group P6_3mc (No. 186)
One atom of each set of equivalent atoms:
Nd1 0.2048 0.4096 0.0000 [6 per cell]
Nd2 0.3333 0.6667 0.6796 [2 per cell]
I1 0.0560 0.5280 0.3160 [6 per cell]
I2 0.1364 0.2728 0.6320 [6 per cell]
N1 0.3333 0.6667 0.9624 [2 per cell]

Most intense lines, 10° ≤ 2θ ≤ 90°, in order of falling intensity:
d (Å)	I/Imax
3.077	100
3.052	100
2.753	82
2.519	60
2.611	54
2.707	48

4.
For NiI6N6, a GGA-PBE-relaxed structure gives the computed powder diffractogram in this record (copper Kα).
Neutral-atom scattering factors, no anomalous dispersion.

Cell and atoms:
Cell lengths 19.475, 13.041, 5.596 Å; angles 90.00, 95.41, 90.00 degrees
Space group C2/c (No. 15)
One atom of each set of equivalent atoms:
Ni1 0.250 0.250 0.000 [4 per cell]
I1 0.000 0.000 0.000 [4 per cell]
I2 0.000 0.378 0.250 [4 per cell]
I3 0.115 0.213 0.181 [8 per cell]
I4 0.236 0.375 0.478 [8 per cell]
N1 0.176 0.333 0.111 [8 per cell]
N2 0.201 0.217 0.684 [8 per cell]
N3 0.207 0.133 0.161 [8 per cell]

Most intense lines, 10° ≤ 2θ ≤ 90°, in order of falling intensity:
d (Å)	I/Imax
4.849	100
5.063	81
2.894	59
5.410	48
2.645	45
3.085	42

5.
For Pm2INO, a GGA-PBE-relaxed structure gives the computed powder diffractogram in this record (copper Kα).
Neutral-atom scattering factors, no anomalous dispersion.

Cell and atoms:
Cell lengths 13.104, 4.008, 9.983 Å; angles 90.00, 118.80, 90.00 degrees
Space group C2/m (No. 12)
One atom of each set of equivalent atoms:
Pm1 0.023 0.000 0.281 [4 per cell]
Pm2 0.149 0.500 0.044 [4 per cell]
I1 0.168 0.500 0.623 [4 per cell]
N1 0.040 0.500 0.177 [4 per cell]
O1 0.153 0.000 0.931 [4 per cell]

Most intense lines, 10° ≤ 2θ ≤ 90°, in order of falling intensity:
d (Å)	I/Imax
3.117	100
2.768	66
3.213	57
2.875	32
1.928	24
2.004	19

6.
For TaINO2, a GGA-PBE-relaxed structure gives the computed powder diffractogram in this record (copper Kα).
Neutral-atom scattering factors, no anomalous dispersion.

Cell and atoms:
Cell lengths 3.920, 3.920, 4.623 Å; angles 90.00, 90.00, 90.00 degrees
Space group P4/mmm (No. 123)
One atom of each set of equivalent atoms:
Ta1 0.000 0.000 0.000 [1 per cell]
I1 0.500 0.500 0.500 [1 per cell]
N1 0.000 0.000 0.500 [1 per cell]
O1 0.000 0.500 0.000 [2 per cell]

Most intense lines, 10° ≤ 2θ ≤ 90°, in order of falling intensity:
d (Å)	I/Imax
2.990	100
2.772	39
1.639	35
1.775	22
1.960	21
2.312	18

7.
For ScPbIN2, a GGA-PBE-relaxed structure gives the computed powder diffractogram in this record (copper Kα).
Neutral-atom scattering factors, no anomalous dispersion.

Cell and atoms:
Cell lengths 4.355, 4.355, 5.767 Å; angles 90.00, 90.00, 90.00 degrees
Space group P4/mmm (No. 123)
One atom of each set of equivalent atoms:
Sc1 0.000 0.000 0.000 [1 per cell]
Pb1 0.500 0.500 0.500 [1 per cell]
I1 0.000 0.000 0.500 [1 per cell]
N1 0.000 0.500 0.000 [2 per cell]

Most intense lines, 10° ≤ 2θ ≤ 90°, in order of falling intensity:
d (Å)	I/Imax
2.716	100
5.767	99
3.079	86
2.105	60
2.884	49
2.177	44

8.
For Pd2WIN, a GGA-PBE-relaxed structure gives the computed powder diffractogram in this record (copper Kα).
Neutral-atom scattering factors, no anomalous dispersion.

Cell and atoms:
Cell lengths 5.152, 5.152, 3.826 Å; angles 90.00, 90.00, 90.00 degrees
Space group P4/mmm (No. 123)
One atom of each set of equivalent atoms:
Pd1 0.000 0.500 0.000 [2 per cell]
W1 0.000 0.000 0.000 [1 per cell]
I1 0.500 0.500 0.500 [1 per cell]
N1 0.000 0.000 0.500 [1 per cell]

Most intense lines, 10° ≤ 2θ ≤ 90°, in order of falling intensity:
d (Å)	I/Imax
2.576	100
3.072	95
1.974	55
1.536	40
1.821	35
3.826	32

9.
For Pm2SIN, a GGA-PBE-relaxed structure gives the computed powder diffractogram in this record (copper Kα).
Neutral-atom scattering factors, no anomalous dispersion.

Cell and atoms:
Cell lengths 15.368, 4.113, 10.828 Å; angles 90.00, 126.98, 90.00 degrees
Space group C2/m (No. 12)
One atom of each set of equivalent atoms:
Pm1 0.083 0.000 0.302 [4 per cell]
Pm2 0.130 0.500 0.033 [4 per cell]
S1 0.136 0.000 0.871 [4 per cell]
I1 0.171 0.500 0.602 [4 per cell]
N1 0.059 0.500 0.175 [4 per cell]

Most intense lines, 10° ≤ 2θ ≤ 90°, in order of falling intensity:
d (Å)	I/Imax
3.218	100
2.462	32
3.807	29
3.325	24
3.069	22
2.171	19

10.
For PmSmIN, a GGA-PBE-relaxed structure gives the computed powder diffractogram in this record (copper Kα).
Neutral-atom scattering factors, no anomalous dispersion.

Cell and atoms:
Cell lengths 3.7676, 3.7676, 22.6718 Å; angles 90.00, 90.00, 120.00 degrees
Space group R3m (No. 160, hexagonal axes)
One atom of each set of equivalent atoms:
Pm1 0.0000 0.0000 0.0000 [3 per cell]
Sm1 0.0000 0.0000 0.7806 [3 per cell]
I1 0.0000 0.0000 0.2230 [3 per cell]
N1 0.0000 0.0000 0.3934 [3 per cell]

Most intense lines, 10° ≤ 2θ ≤ 90°, in order of falling intensity:
d (Å)	I/Imax
2.648	100
2.828	97
1.884	48
1.509	42
3.230	41
2.519	34

11.
For Pr7I12N, a GGA-PBE-relaxed structure gives the computed powder diffractogram in this record (copper Kα).
Neutral-atom scattering factors, no anomalous dispersion.

Cell and atoms:
Cell lengths 15.9411, 15.9411, 10.6231 Å; angles 90.00, 90.00, 120.00 degrees
Space group R-3 (No. 148, hexagonal axes)
One atom of each set of equivalent atoms:
Pr1 0.0000 0.0000 0.0000 [3 per cell]
Pr2 0.0415 0.1499 0.3609 [18 per cell]
I1 0.0223 0.5862 0.1648 [18 per cell]
I2 0.0521 0.1869 0.8349 [18 per cell]
N1 0.0000 0.0000 0.5000 [3 per cell]

Most intense lines, 10° ≤ 2θ ≤ 90°, in order of falling intensity:
d (Å)	I/Imax
3.106	100
2.211	34
2.182	33
7.971	19
3.602	17
1.801	16

12.
For Pr4I6N, a GGA-PBE-relaxed structure gives the computed powder diffractogram in this record (copper Kα).
Neutral-atom scattering factors, no anomalous dispersion.

Cell and atoms:
Cell lengths 10.1352, 10.1352, 8.6001 Å; angles 90.00, 90.00, 120.00 degrees
Space group P6_3mc (No. 186)
One atom of each set of equivalent atoms:
Pr1 0.2045 0.4091 0.0000 [6 per cell]
Pr2 0.3333 0.6667 0.6779 [2 per cell]
I1 0.0561 0.5280 0.3156 [6 per cell]
I2 0.1365 0.2731 0.6323 [6 per cell]
N1 0.3333 0.6667 0.9618 [2 per cell]

Most intense lines, 10° ≤ 2θ ≤ 90°, in order of falling intensity:
d (Å)	I/Imax
3.071	100
3.095	99
2.770	80
2.534	60
2.627	53
2.725	47